Entry 1:
Theoretical powder diffraction line list of BaHoC for Cu Kα X-rays, from a PBE-relaxed structure.
Intensities are scaled so that the largest is 100.

```
data_BaHoC
_chemical_formula_sum 'Ba2 Ho2 C2'
_cell_length_a 3.8975
_cell_length_b 5.0723
_cell_length_c 9.6673
_cell_angle_alpha 90.00
_cell_angle_beta 90.00
_cell_angle_gamma 90.00
_space_group_name_H-M_alt 'P m m n'
_space_group_IT_number 59
loop_
_space_group_symop_operation_xyz
'x,y,z'
'-x,-y,-z'
'-x+1/2,-y+1/2,z'
'x+1/2,y+1/2,-z'
'x+1/2,-y,-z'
'-x+1/2,y,z'
'-x,y+1/2,-z'
'x,-y+1/2,z'
loop_
_atom_site_label
_atom_site_fract_x
_atom_site_fract_y
_atom_site_fract_z
_atom_site_occupancy
Ba1 0.2500 0.2500 0.1898 1
Ho1 0.2500 0.2500 0.5596 1
C1 0.2500 0.7500 0.5893 1
```

Main lines, in order of rising 2θ (5 to 70 degrees two-theta):
Position (°2θ)  d_spacing  I_rel  h k l
9.15  9.667  100.0  0 0 1
25.45  3.499  56.5  0 1 2
27.68  3.222  22.4  0 0 3
28.89  3.091  90.6  1 1 0
29.44  3.034  48.3  1 0 2
32.93  2.720  29.5  0 1 3
35.39  2.536  30.8  0 2 0
36.17  2.484  28.3  1 0 3
40.44  2.231  33.2  1 1 3
46.65  1.947  40.6  2 0 0



Entry 2:
Theoretical powder diffraction line list of Dy4Er2Tl3H2 for Cu Kα X-rays, from a PBE-relaxed structure.
Intensities are scaled so that the largest is 100.

```
data_Dy4Er2Tl3H2
_chemical_formula_sum 'Dy8 Er4 Tl6 H4'
_cell_length_a 4.7191
_cell_length_b 4.7191
_cell_length_c 24.4676
_cell_angle_alpha 90.00
_cell_angle_beta 90.00
_cell_angle_gamma 90.00
_space_group_name_H-M_alt 'I 4/m m m'
_space_group_IT_number 139
_space_group_name_Hall '-I 4 2'
loop_
_atom_site_label
_atom_site_fract_x
_atom_site_fract_y
_atom_site_fract_z
_atom_site_occupancy
Dy1 0.0000 0.5000 0.0851 1
Er1 0.0000 0.0000 0.1979 1
Tl1 0.0000 0.0000 0.3249 1
Tl2 0.0000 0.0000 0.5000 1
H1 0.0000 0.0000 0.1033 1
```

Main lines, in order of rising 2θ (5 to 70 degrees two-theta):
Position (°2θ)  d_spacing  I_rel  h k l
19.15  4.634  17.5  1 0 1
27.71  3.219  36.6  1 1 2
30.52  2.929  19.9  1 1 4
31.86  2.809  18.0  1 0 7
34.74  2.582  100.0  1 1 6
38.14  2.359  55.4  2 0 0
50.52  1.807  10.1  2 1 7
53.99  1.698  13.3  2 0 10
55.04  1.668  20.1  2 2 0
66.75  1.401  30.6  3 1 6



Entry 3:
Theoretical powder diffraction line list of Hf2NiPtAu2 for Cu Kα X-rays, from a PBE-relaxed structure.
Intensities are scaled so that the largest is 100.

```
data_Hf2NiPtAu2
_chemical_formula_sum 'Hf8 Ni4 Pt4 Au8'
_cell_length_a 5.6574
_cell_length_b 13.5273
_cell_length_c 5.6585
_cell_angle_alpha 90.00
_cell_angle_beta 90.00
_cell_angle_gamma 90.00
_space_group_name_H-M_alt 'I b a m'
_space_group_IT_number 72
_space_group_name_Hall '-I 2 2c'
loop_
_atom_site_label
_atom_site_fract_x
_atom_site_fract_y
_atom_site_fract_z
_atom_site_occupancy
Hf1 0.2376 0.1515 0.0000 1
Ni1 0.0000 0.5000 0.2500 1
Pt1 0.0000 0.0000 0.2500 1
Au1 0.2258 0.3576 0.0000 1
```

Main lines, in order of rising 2θ (5 to 70 degrees two-theta):
Position (°2θ)  d_spacing  I_rel  h k l
26.35  3.382  15.2  0 4 0
31.63  2.829  30.9  0 0 2
34.36  2.610  44.8  0 2 2
36.11  2.487  7.7  1 1 2
39.99  2.255  22.6  0 6 0
41.62  2.170  100.0  0 4 2
45.34  2.000  48.6  2 0 2
53.20  1.722  8.3  2 4 2
62.02  1.496  24.1  2 6 2
66.05  1.415  15.3  0 0 4



Entry 4:
Theoretical powder diffraction line list of Pm7AuCl12 for Cu Kα X-rays, from a PBE-relaxed structure.
Intensities are scaled so that the largest is 100.

```
data_Pm7AuCl12
_chemical_formula_sum 'Pm21 Au3 Cl36'
_cell_length_a 15.1310
_cell_length_b 15.1310
_cell_length_c 9.2081
_cell_angle_alpha 90.00
_cell_angle_beta 90.00
_cell_angle_gamma 120.00
_space_group_name_H-M_alt 'R -3'
_space_group_IT_number 148
_space_group_name_Hall '-R 3'
loop_
_atom_site_label
_atom_site_fract_x
_atom_site_fract_y
_atom_site_fract_z
_atom_site_occupancy
Pm1 0.0000 0.0000 0.0000 1
Pm2 0.0401 0.8689 0.3207 1
Au1 0.0000 0.0000 0.5000 1
Cl1 0.0342 0.4528 0.1625 1
Cl2 0.0433 0.8627 0.8443 1
```

Main lines, in order of rising 2θ (5 to 70 degrees two-theta):
Position (°2θ)  d_spacing  I_rel  h k l
11.71  7.558  100.0  1 1 0
20.36  4.362  14.5  3 -1 1
23.62  3.767  9.2  2 0 2
26.41  3.375  20.1  3 -2 2
31.35  2.854  90.4  4 -1 2
35.66  2.518  11.7  5 -3 2
41.37  2.183  12.4  6 0 0
43.11  2.098  29.8  5 2 0
46.71  1.945  22.5  1 3 4
54.27  1.690  13.0  2 6 2



Entry 5:
Theoretical powder diffraction line list of NaGa4F12 for Cu Kα X-rays, from a PBE-relaxed structure.
Intensities are scaled so that the largest is 100.

```
data_NaGa4F12
_chemical_formula_sum 'Na2 Ga8 F24'
_cell_length_a 7.6074
_cell_length_b 7.7716
_cell_length_c 7.7719
_cell_angle_alpha 90.00
_cell_angle_beta 90.00
_cell_angle_gamma 90.00
_space_group_name_H-M_alt 'I m m m'
_space_group_IT_number 71
_space_group_name_Hall '-I 2 2'
loop_
_atom_site_label
_atom_site_fract_x
_atom_site_fract_y
_atom_site_fract_z
_atom_site_occupancy
Na1 0.0000 0.0000 0.0000 1
Ga1 0.2500 0.2500 0.2500 1
F1 0.0000 0.2899 0.2902 1
F2 0.2009 0.0000 0.2457 1
F3 0.2009 0.2471 0.0000 1
```

Main lines, in order of rising 2θ (5 to 70 degrees two-theta):
Position (°2θ)  d_spacing  I_rel  h k l
22.89  3.886  100.0  0 2 0
23.39  3.804  41.9  2 0 0
32.59  2.748  16.7  0 2 2
32.95  2.718  41.4  2 2 0
46.75  1.943  31.6  0 4 0
52.67  1.738  15.9  0 4 2
52.92  1.730  20.5  2 4 0
53.65  1.708  17.9  4 2 0
58.38  1.581  20.5  2 2 4
59.07  1.564  12.7  4 2 2



Entry 6:
Theoretical powder diffraction line list of MgCd2Ag2 for Cu Kα X-rays, from a PBE-relaxed structure.
Intensities are scaled so that the largest is 100.

```
data_MgCd2Ag2
_chemical_formula_sum 'Mg4 Cd8 Ag8'
_cell_length_a 9.6719
_cell_length_b 4.3520
_cell_length_c 9.2579
_cell_angle_alpha 90.00
_cell_angle_beta 92.94
_cell_angle_gamma 90.00
_space_group_name_H-M_alt 'C 1 2/m 1'
_space_group_IT_number 12
loop_
_space_group_symop_operation_xyz
'x,y,z'
'-x,-y,-z'
'-x,y,-z'
'x,-y,z'
'x+1/2,y+1/2,z'
'-x+1/2,-y+1/2,-z'
'-x+1/2,y+1/2,-z'
'x+1/2,-y+1/2,z'
loop_
_atom_site_label
_atom_site_fract_x
_atom_site_fract_y
_atom_site_fract_z
_atom_site_occupancy
Mg1 0.2451 0.0000 0.2389 1
Cd1 0.0554 0.0000 0.8528 1
Cd2 0.1502 0.0000 0.5495 1
Ag1 0.0493 0.5000 0.3466 1
Ag2 0.1489 0.5000 0.0519 1
```

Main lines, in order of rising 2θ (5 to 70 degrees two-theta):
Position (°2θ)  d_spacing  I_rel  h k l
24.22  3.674  10.8  1 1 -1
24.60  3.619  9.8  1 1 1
36.43  2.466  100.0  3 1 1
36.54  2.459  99.4  1 1 -3
41.28  2.187  35.0  4 0 -2
41.50  2.176  34.5  0 2 0
44.30  2.045  28.1  2 0 4
59.97  1.542  22.3  4 2 -2
62.01  1.497  9.7  6 0 2
62.31  1.490  28.9  2 2 4



Entry 7:
Theoretical powder diffraction line list of NbTl for Cu Kα X-rays, from a PBE-relaxed structure.
Intensities are scaled so that the largest is 100.

```
data_NbTl
_chemical_formula_sum 'Nb6 Tl6'
_cell_length_a 8.9039
_cell_length_b 8.9039
_cell_length_c 4.6287
_cell_angle_alpha 90.00
_cell_angle_beta 90.00
_cell_angle_gamma 120.00
_space_group_name_H-M_alt 'P 63/m m c'
_space_group_IT_number 194
_space_group_name_Hall '-P 6c 2c'
loop_
_atom_site_label
_atom_site_fract_x
_atom_site_fract_y
_atom_site_fract_z
_atom_site_occupancy
Nb1 0.1105 0.5552 0.2500 1
Tl1 0.2002 0.4005 0.7500 1
```

Main lines, in order of rising 2θ (5 to 70 degrees two-theta):
Position (°2θ)  d_spacing  I_rel  h k l
11.48  7.711  49.5  1 0 0
22.40  3.969  17.4  1 0 1
30.17  2.962  95.9  2 0 1
30.68  2.914  31.9  2 1 0
34.91  2.570  26.5  3 0 0
38.91  2.314  31.3  0 0 2
40.13  2.247  100.0  3 0 1
50.35  1.812  16.7  2 1 2
53.26  1.720  15.9  3 0 2
55.62  1.652  15.5  3 2 1



Entry 8:
Theoretical powder diffraction line list of Rb2Cu2Cl5 for Cu Kα X-rays, from a PBE-relaxed structure.
Intensities are scaled so that the largest is 100.

```
data_Rb2Cu2Cl5
_chemical_formula_sum 'Rb8 Cu8 Cl20'
_cell_length_a 22.1096
_cell_length_b 6.7213
_cell_length_c 6.7441
_cell_angle_alpha 90.00
_cell_angle_beta 90.00
_cell_angle_gamma 90.00
_space_group_name_H-M_alt 'I m a 2'
_space_group_IT_number 46
loop_
_space_group_symop_operation_xyz
'x,y,z'
'-x,-y,z'
'-x+1/2,y,z'
'x+1/2,-y,z'
'x+1/2,y+1/2,z+1/2'
'-x+1/2,-y+1/2,z+1/2'
'-x,y+1/2,z+1/2'
'x,-y+1/2,z+1/2'
loop_
_atom_site_label
_atom_site_fract_x
_atom_site_fract_y
_atom_site_fract_z
_atom_site_occupancy
Rb1 0.1131 0.0006 0.0000 1
Cu1 0.0000 0.0000 0.4987 1
Cu2 0.2500 0.5778 0.9651 1
Cl1 0.9997 0.2499 0.2488 1
Cl2 0.1520 0.0127 0.5126 1
Cl3 0.2500 0.6074 0.6180 1
```

Main lines, in order of rising 2θ (5 to 70 degrees two-theta):
Position (°2θ)  d_spacing  I_rel  h k l
24.68  3.607  100.0  4 1 1
26.47  3.367  78.4  0 0 2
30.68  2.914  35.1  6 1 1
31.11  2.875  32.7  4 2 0
32.39  2.764  42.5  8 0 0
37.79  2.380  58.6  0 2 2
42.31  2.136  22.3  8 0 2
45.61  1.989  25.9  4 1 3
50.61  1.804  30.5  8 2 2
53.30  1.719  18.7  12 1 1



Entry 9:
Theoretical powder diffraction line list of SrGe2PtRh for Cu Kα X-rays, from a PBE-relaxed structure.
Intensities are scaled so that the largest is 100.

```
data_SrGe2PtRh
_chemical_formula_sum 'Sr2 Ge4 Pt2 Rh2'
_cell_length_a 4.2695
_cell_length_b 4.2695
_cell_length_c 10.8238
_cell_angle_alpha 90.00
_cell_angle_beta 90.00
_cell_angle_gamma 90.00
_space_group_name_H-M_alt 'I -4 m 2'
_space_group_IT_number 119
_space_group_name_Hall 'I -4 -2'
loop_
_atom_site_label
_atom_site_fract_x
_atom_site_fract_y
_atom_site_fract_z
_atom_site_occupancy
Sr1 0.0000 0.0000 0.0000 1
Ge1 0.0000 0.0000 0.3732 1
Pt1 0.0000 0.5000 0.7500 1
Rh1 0.0000 0.5000 0.2500 1
```

Main lines, in order of rising 2θ (5 to 70 degrees two-theta):
Position (°2θ)  d_spacing  I_rel  h k l
16.38  5.412  45.8  0 0 2
22.38  3.972  14.2  1 0 1
32.49  2.756  36.2  1 0 3
34.00  2.637  100.0  1 1 2
42.34  2.135  53.6  2 0 0
44.99  2.015  40.6  1 1 4
45.69  1.986  13.7  2 0 2
54.36  1.688  16.7  2 1 3
59.71  1.549  21.1  1 1 6
61.42  1.510  17.7  2 2 0